1.
RuSCl6: computed XRD peak list (a wavelength of 1.5418 Å), based on a structure optimized by DFT (PBE).
Lines closer than 0.1° are merged.

Largest 10 diffraction maxima, low angle first, 2θ = 10–90°:
8.126 Å, I 79.1; 7.557 Å, I 67.5; 5.808 Å, I 100.0; 5.296 Å, I 43.1; 4.417 Å, I 46.7; 3.881 Å, I 25.8; 3.813 Å, I 14.2; 3.311 Å, I 25.3; 2.649 Å, I 22.7; 2.628 Å, I 13.4

Structure:
abc: 15.1798 8.8334 10.6192
angles: 90.00 130.07 90.00
Space group C2 (No. 5)
Asymmetric unit:
Ru 0.2502 0.0000 0.0026 [4 per cell]
S 0.2025 0.0359 0.5913 [4 per cell]
Cl 0.0596 0.4424 0.8015 [4 per cell]
Cl 0.0736 0.0743 0.7709 [4 per cell]
Cl 0.1761 0.5488 0.1585 [4 per cell]
Cl 0.1974 0.7522 0.8846 [4 per cell]
Cl 0.1979 0.9561 0.1566 [4 per cell]
Cl 0.2185 0.8257 0.5360 [4 per cell]

2.
Tb4Pr4Y3: computed XRD peak list (a wavelength of 1.5418 Å), based on a structure optimized by DFT (PBE).
Lines closer than 0.1° are merged.

Largest 10 diffraction maxima, low angle first, 2θ = 10–90°:
2.956 Å, I 100.0; 2.560 Å, I 50.5; 1.811 Å, I 6.1; 1.810 Å, I 29.9; 1.544 Å, I 42.5; 1.478 Å, I 9.3; 1.478 Å, I 3.0; 1.280 Å, I 5.6; 1.174 Å, I 17.3; 1.145 Å, I 16.1

Structure:
abc: 40.1513 3.6216 5.1166
angles: 90.00 97.31 90.00
Space group C2/m (No. 12)
Asymmetric unit:
Tb 0.0915 0.0000 0.0909 [4 per cell]
Tb 0.2277 0.5000 0.7275 [4 per cell]
Pr 0.0462 0.5000 0.5458 [4 per cell]
Pr 0.1823 0.0000 0.1821 [4 per cell]
Y 0.0000 0.0000 0.0000 [2 per cell]
Y 0.1362 0.5000 0.6357 [4 per cell]

3.
Al2Si5Ni: computed XRD peak list (a wavelength of 1.5418 Å), based on a structure optimized by DFT (PBE).
Lines closer than 0.1° are merged.

Largest 10 diffraction maxima, low angle first, 2θ = 10–90°:
7.108 Å, I 21.1; 3.847 Å, I 8.0; 2.212 Å, I 100.0; 1.998 Å, I 37.3; 1.777 Å, I 11.4; 1.413 Å, I 11.8; 1.328 Å, I 17.3; 1.191 Å, I 26.1; 1.106 Å, I 10.0; 1.093 Å, I 8.1

Structure:
abc: 3.9966 3.9966 14.2157
angles: 90.00 90.00 90.00
Space group I4/mmm (No. 139)
Asymmetric unit:
Al 0.0000 0.0000 0.2456 [4 per cell]
Si 0.0000 0.0000 0.0000 [2 per cell]
Si 0.0000 0.5000 0.1153 [8 per cell]
Ni 0.0000 0.0000 0.5000 [2 per cell]